For SrZnW, a crystal structure in Alexandria, relaxed with GGA-PBE gives the simulated powder diffraction line list in this record (Cu Kα, 1.54184 Å).
No peak broadening, texture or thermal motion is included.

Structure:
```
data_SrZnW
_cell_length_a 6.262
_cell_length_b 6.262
_cell_length_c 6.262
_cell_angle_alpha 148.19
_cell_angle_beta 148.19
_cell_angle_gamma 45.61
_space_group_name_H-M_alt 'P 1'
_space_group_IT_number 1
_space_group_name_Hall 'P 1'
loop_
_atom_site_label
_atom_site_fract_x
_atom_site_fract_y
_atom_site_fract_z
_atom_site_occupancy
Sr1 0.000 0.000 0.000 1
Zn1 0.711 0.711 0.000 1
W1 0.297 0.297 0.000 1
```

Most intense lines, 2θ = 10–90°, in order of rising 2θ:
2θ (°)  intensity
15.3  458
27.1  264
31.0  217
35.0  1000
37.0  622
49.0  242
53.4  216
62.5  246
65.5  323
86.6  202